Structure and calculated powder diffractogram of LaMg2W3S8 (the GGA-PBE geometry in the Materials Project; Cu Kα (λ = 1.5418 Å)).

Largest 6 diffraction maxima, in order of rising 2θ, 15° ≤ 2θ ≤ 90°:
d/Å  Rel. int.
3.164  62.8
3.053  49.1
2.665  100.0
2.609  47.7
1.929  43.7
1.884  42.5

Crystal structure
Cell: 7.230 7.230 7.572 Å, 117.10 117.10 62.81°
Atoms (fractional coordinates):
1 La 0.000 0.000 0.000
2 Mg 0.375 0.375 0.119
3 Mg 0.625 0.625 0.881
4 W 0.000 0.000 0.500
5 W 0.000 0.500 0.500
6 W 0.500 0.000 0.500
7 S 0.231 0.742 0.708
8 S 0.243 0.243 0.721
9 S 0.258 0.769 0.292
10 S 0.264 0.264 0.303
11 S 0.736 0.736 0.697
12 S 0.742 0.231 0.708
13 S 0.757 0.757 0.279
14 S 0.769 0.258 0.292


Structure and calculated powder diffractogram of La6Mg23Sb (the GGA-PBE geometry in the Materials Project; Cu Kα (λ = 1.5418 Å)).

Largest 6 diffraction maxima, in order of rising 2θ, 15° ≤ 2θ ≤ 90°:
d/Å  Rel. int.
4.242  39.6
3.674  50.6
3.286  31.0
2.828  72.7
2.598  100.0
1.421  27.6

Crystal structure
Cell: 10.391 10.391 10.391 Å, 60.00 60.00 60.00°
Atoms (fractional coordinates):
1 La 0.217 0.217 0.783
2 La 0.217 0.783 0.217
3 La 0.217 0.783 0.783
4 La 0.783 0.217 0.217
5 La 0.783 0.217 0.783
6 La 0.783 0.783 0.217
7 Mg 0.000 0.000 0.500
8 Mg 0.000 0.500 0.000
9 Mg 0.000 0.500 0.500
10 Mg 0.135 0.622 0.622
11 Mg 0.172 0.172 0.172
12 Mg 0.172 0.172 0.483
13 Mg 0.172 0.483 0.172
14 Mg 0.378 0.378 0.378
15 Mg 0.378 0.378 0.865
16 Mg 0.378 0.865 0.378
17 Mg 0.483 0.172 0.172
18 Mg 0.500 0.000 0.000
19 Mg 0.500 0.000 0.500
20 Mg 0.500 0.500 0.000
21 Mg 0.500 0.500 0.500
22 Mg 0.517 0.828 0.828
23 Mg 0.622 0.135 0.622
24 Mg 0.622 0.622 0.135
25 Mg 0.622 0.622 0.622
26 Mg 0.828 0.517 0.828
27 Mg 0.828 0.828 0.517
28 Mg 0.828 0.828 0.828
29 Mg 0.865 0.378 0.378
30 Sb 0.000 0.000 0.000


Structure and calculated powder diffractogram of LaMgSe3 (the GGA-PBE geometry in the Materials Project; Cu Kα (λ = 1.5418 Å)).

Largest 6 diffraction maxima, in order of rising 2θ, 15° ≤ 2θ ≤ 90°:
d/Å  Rel. int.
3.585  60.5
3.423  54.6
3.325  81.9
3.094  100.0
2.857  58.0
2.126  69.7

Crystal structure
Cell: 7.366 7.366 6.818 Å, 103.20 103.20 113.96°
Atoms (fractional coordinates):
1 La 0.195 0.195 0.307
2 La 0.805 0.805 0.693
3 Mg 0.334 0.666 0.000
4 Mg 0.666 0.334 0.000
5 Se 0.097 0.755 0.209
6 Se 0.245 0.903 0.791
7 Se 0.467 0.467 0.744
8 Se 0.533 0.533 0.256
9 Se 0.755 0.097 0.209
10 Se 0.903 0.245 0.791


Structure and calculated powder diffractogram of La6Mg23Si (the GGA-PBE geometry in the Materials Project; Cu Kα (λ = 1.5418 Å)).

Largest 6 diffraction maxima, in order of rising 2θ, 15° ≤ 2θ ≤ 90°:
d/Å  Rel. int.
4.229  56.0
3.662  37.0
2.990  34.3
2.819  100.0
2.590  88.5
1.416  30.2

Crystal structure
Cell: 10.358 10.358 10.358 Å, 60.00 60.00 60.00°
Atoms (fractional coordinates):
1 La 0.207 0.207 0.793
2 La 0.207 0.793 0.207
3 La 0.207 0.793 0.793
4 La 0.793 0.207 0.207
5 La 0.793 0.207 0.793
6 La 0.793 0.793 0.207
7 Mg 0.000 0.000 0.500
8 Mg 0.000 0.500 0.000
9 Mg 0.000 0.500 0.500
10 Mg 0.132 0.623 0.623
11 Mg 0.167 0.167 0.167
12 Mg 0.167 0.167 0.499
13 Mg 0.167 0.499 0.167
14 Mg 0.377 0.377 0.377
15 Mg 0.377 0.377 0.868
16 Mg 0.377 0.868 0.377
17 Mg 0.499 0.167 0.167
18 Mg 0.500 0.000 0.000
19 Mg 0.500 0.000 0.500
20 Mg 0.500 0.500 0.000
21 Mg 0.500 0.500 0.500
22 Mg 0.501 0.833 0.833
23 Mg 0.623 0.132 0.623
24 Mg 0.623 0.623 0.132
25 Mg 0.623 0.623 0.623
26 Mg 0.833 0.501 0.833
27 Mg 0.833 0.833 0.501
28 Mg 0.833 0.833 0.833
29 Mg 0.868 0.377 0.377
30 Si 0.000 0.000 0.000


Structure and calculated powder diffractogram of LaSmMg2 (the GGA-PBE geometry in the Materials Project; Cu Kα (λ = 1.5418 Å)).

Largest 6 diffraction maxima, in order of rising 2θ, 15° ≤ 2θ ≤ 90°:
d/Å  Rel. int.
3.911  58.4
2.765  100.0
2.258  18.2
1.955  18.2
1.749  25.1
1.596  37.9

Crystal structure
Cell: 5.530 5.530 5.530 Å, 60.00 60.00 60.00°
Atoms (fractional coordinates):
1 La 0.000 0.000 0.000
2 Sm 0.500 0.500 0.500
3 Mg 0.250 0.250 0.250
4 Mg 0.750 0.750 0.750


Structure and calculated powder diffractogram of LaMg14Sn (the GGA-PBE geometry in the Materials Project; Cu Kα (λ = 1.5418 Å)).

Largest 6 diffraction maxima, in order of rising 2θ, 15° ≤ 2θ ≤ 90°:
d/Å  Rel. int.
5.637  52.8
3.860  45.3
2.819  30.4
2.648  25.4
2.488  100.0
1.930  20.1

Crystal structure
Cell: 6.509 6.509 10.594 Å, 90.00 90.00 120.00°
Atoms (fractional coordinates):
1 La 0.000 0.000 0.000
2 Mg 0.013 0.506 0.000
3 Mg 0.168 0.336 0.256
4 Mg 0.168 0.336 0.744
5 Mg 0.168 0.832 0.256
6 Mg 0.168 0.832 0.744
7 Mg 0.494 0.506 0.000
8 Mg 0.494 0.987 0.000
9 Mg 0.503 0.006 0.500
10 Mg 0.503 0.497 0.500
11 Mg 0.664 0.832 0.256
12 Mg 0.664 0.832 0.744
13 Mg 0.667 0.333 0.239
14 Mg 0.667 0.333 0.761
15 Mg 0.994 0.497 0.500
16 Sn 0.000 0.000 0.500


Repeat the second record exactly.
Structure and calculated powder diffractogram of La6Mg23Sb (the GGA-PBE geometry in the Materials Project; Cu Kα (λ = 1.5418 Å)).

Largest 6 diffraction maxima, in order of rising 2θ, 15° ≤ 2θ ≤ 90°:
d/Å  Rel. int.
4.242  39.6
3.674  50.6
3.286  31.0
2.828  72.7
2.598  100.0
1.421  27.6

Crystal structure
Cell: 10.391 10.391 10.391 Å, 60.00 60.00 60.00°
Atoms (fractional coordinates):
1 La 0.217 0.217 0.783
2 La 0.217 0.783 0.217
3 La 0.217 0.783 0.783
4 La 0.783 0.217 0.217
5 La 0.783 0.217 0.783
6 La 0.783 0.783 0.217
7 Mg 0.000 0.000 0.500
8 Mg 0.000 0.500 0.000
9 Mg 0.000 0.500 0.500
10 Mg 0.135 0.622 0.622
11 Mg 0.172 0.172 0.172
12 Mg 0.172 0.172 0.483
13 Mg 0.172 0.483 0.172
14 Mg 0.378 0.378 0.378
15 Mg 0.378 0.378 0.865
16 Mg 0.378 0.865 0.378
17 Mg 0.483 0.172 0.172
18 Mg 0.500 0.000 0.000
19 Mg 0.500 0.000 0.500
20 Mg 0.500 0.500 0.000
21 Mg 0.500 0.500 0.500
22 Mg 0.517 0.828 0.828
23 Mg 0.622 0.135 0.622
24 Mg 0.622 0.622 0.135
25 Mg 0.622 0.622 0.622
26 Mg 0.828 0.517 0.828
27 Mg 0.828 0.828 0.517
28 Mg 0.828 0.828 0.828
29 Mg 0.865 0.378 0.378
30 Sb 0.000 0.000 0.000